Record 1
Theoretical PXRD pattern
Compound: LiSmF4
Radiation: CuKα
Structure: a GGA-PBE-relaxed structure

Crystal structure
```
data_LiSmF4
_chemical_formula_sum 'Li4 Sm4 F16'
_cell_length_a 7.325
_cell_length_b 7.325
_cell_length_c 6.697
_cell_angle_alpha 90.00
_cell_angle_beta 90.00
_cell_angle_gamma 90.00
_symmetry_space_group_name_H-M 'I 41 m d'
_symmetry_Int_Tables_number 109
_symmetry_space_group_name_Hall 'I 4bw -2'
loop_
_atom_site_label
_atom_site_fract_x
_atom_site_fract_y
_atom_site_fract_z
Li1 0.000 0.000 0.000
Sm1 0.000 0.000 0.489
F1 0.000 0.192 0.761
F2 0.000 0.201 0.244
```

Top 6 peaks for 2θ from 5° to 70°, in order of falling intensity:
(1 0 1), 2θ 17.9, d = 4.942 Å, intensity 100
(2 0 0), 2θ 24.3, d = 3.663 Å, intensity 67
(2 1 1), 2θ 30.4, d = 2.943 Å, intensity 60
(3 1 2), 2θ 47.7, d = 1.905 Å, intensity 49
(1 1 2), 2θ 31.8, d = 2.812 Å, intensity 41
(3 2 1), 2θ 46.7, d = 1.944 Å, intensity 20

---

Record 2
Theoretical PXRD pattern
Compound: Li3SnF7
Radiation: CuKα
Structure: a GGA-PBE-relaxed structure

Crystal structure
```
data_Li3SnF7
_chemical_formula_sum 'Li6 Sn2 F14'
_cell_length_a 6.627
_cell_length_b 7.832
_cell_length_c 5.627
_cell_angle_alpha 90.00
_cell_angle_beta 119.43
_cell_angle_gamma 90.00
_symmetry_space_group_name_H-M 'C 1 m 1'
_symmetry_Int_Tables_number 8
_symmetry_space_group_name_Hall 'C -2y'
loop_
_atom_site_label
_atom_site_fract_x
_atom_site_fract_y
_atom_site_fract_z
Li1 0.000 0.000 0.000
Li2 0.073 0.251 0.654
Sn1 0.007 0.500 0.112
F1 0.158 0.000 0.780
F2 0.180 0.500 0.899
F3 0.219 0.335 0.417
F4 0.319 0.000 0.303
F5 0.437 0.241 0.927
```

Top 6 peaks for 2θ from 5° to 70°, in order of falling intensity:
(1 1 0), 2θ 19.1, d = 4.646 Å, intensity 100
(1 1 -1), 2θ 20.5, d = 4.335 Å, intensity 83
(0 0 1), 2θ 18.1, d = 4.900 Å, intensity 51
(0 2 1), 2θ 29.2, d = 3.059 Å, intensity 35
(1 1 1), 2θ 31.3, d = 2.855 Å, intensity 30
(0 2 0), 2θ 22.7, d = 3.916 Å, intensity 27

---

Record 3
Theoretical PXRD pattern
Compound: LiSnF3
Radiation: CuKα
Structure: a GGA-PBE-relaxed structure

Crystal structure
```
data_LiSnF3
_chemical_formula_sum 'Li4 Sn4 F12'
_cell_length_a 3.666
_cell_length_b 18.091
_cell_length_c 4.502
_cell_angle_alpha 90.00
_cell_angle_beta 90.00
_cell_angle_gamma 90.00
_symmetry_space_group_name_H-M 'C m c 21'
_symmetry_Int_Tables_number 36
_symmetry_space_group_name_Hall 'C 2c -2'
loop_
_atom_site_label
_atom_site_fract_x
_atom_site_fract_y
_atom_site_fract_z
Li1 0.000 0.047 0.000
Sn1 0.000 0.351 0.965
F1 0.000 0.059 0.573
F2 0.000 0.187 0.191
F3 0.000 0.426 0.598
```

Top 6 peaks for 2θ from 5° to 70°, in order of falling intensity:
(0 2 1), 2θ 22.1, d = 4.031 Å, intensity 100
(1 5 1), 2θ 40.4, d = 2.235 Å, intensity 71
(0 4 0), 2θ 19.6, d = 4.523 Å, intensity 55
(1 1 1), 2θ 31.9, d = 2.808 Å, intensity 53
(1 3 0), 2θ 28.5, d = 3.132 Å, intensity 46
(1 3 2), 2θ 49.9, d = 1.828 Å, intensity 34

---

Record 4
Theoretical PXRD pattern
Compound: Li3Sn2F7
Radiation: CuKα
Structure: a GGA-PBE-relaxed structure

Crystal structure
```
data_Li3Sn2F7
_chemical_formula_sum 'Li12 Sn8 F28'
_cell_length_a 20.824
_cell_length_b 5.728
_cell_length_c 5.587
_cell_angle_alpha 90.00
_cell_angle_beta 90.00
_cell_angle_gamma 90.00
_symmetry_space_group_name_H-M 'C m c 21'
_symmetry_Int_Tables_number 36
_symmetry_space_group_name_Hall 'C 2c -2'
loop_
_atom_site_label
_atom_site_fract_x
_atom_site_fract_y
_atom_site_fract_z
Li1 0.000 0.224 0.000
Li2 0.221 0.332 0.019
Sn1 0.105 0.225 0.534
F1 0.000 0.062 0.297
F2 0.074 0.420 0.918
F3 0.165 0.154 0.214
F4 0.205 0.357 0.657
```

Top 6 peaks for 2θ from 5° to 70°, in order of falling intensity:
(1 1 1), 2θ 22.6, d = 3.928 Å, intensity 100
(5 1 1), 2θ 31.0, d = 2.885 Å, intensity 80
(4 0 0), 2θ 17.0, d = 5.206 Å, intensity 64
(9 1 1), 2θ 45.3, d = 2.002 Å, intensity 53
(6 0 0), 2θ 25.7, d = 3.467 Å, intensity 39
(4 2 0), 2θ 35.8, d = 2.509 Å, intensity 24

---

Record 5
Theoretical PXRD pattern
Compound: SrLi2SnF8
Radiation: CuKα
Structure: a GGA-PBE-relaxed structure

Crystal structure
```
data_SrLi2SnF8
_chemical_formula_sum 'Sr1 Li2 Sn1 F8'
_cell_length_a 4.763
_cell_length_b 4.994
_cell_length_c 7.287
_cell_angle_alpha 84.00
_cell_angle_beta 85.16
_cell_angle_gamma 82.64
_symmetry_space_group_name_H-M 'P -1'
_symmetry_Int_Tables_number 2
_symmetry_space_group_name_Hall '-P 1'
loop_
_atom_site_label
_atom_site_fract_x
_atom_site_fract_y
_atom_site_fract_z
Sr1 0.000 0.000 0.000
Li1 0.464 0.464 0.207
Sn1 0.000 0.000 0.500
F1 0.196 0.783 0.715
F2 0.198 0.782 0.295
F3 0.288 0.253 0.459
F4 0.346 0.306 0.997
```

Top 6 peaks for 2θ from 5° to 70°, in order of falling intensity:
(0 1 0), 2θ 18.0, d = 4.930 Å, intensity 100
(1 0 0), 2θ 18.8, d = 4.711 Å, intensity 83
(1 1 0), 2θ 24.5, d = 3.632 Å, intensity 67
(0 0 2), 2θ 24.6, d = 3.614 Å, intensity 50
(1 -1 0), 2θ 27.7, d = 3.218 Å, intensity 46
(-1 1 2), 2θ 37.2, d = 2.419 Å, intensity 46

---

Question: Number 5 is which compound?
Answer: SrLi2SnF8

---

Question: Which formula does entry 5 have?
Answer: SrLi2SnF8